(1)
The following is a computed X-ray powder pattern of YCr6Ge6. It was derived from a crystal structure in Alexandria, relaxed with PBE, using a wavelength of 1.5418 Å.

Largest 8 diffraction maxima, low angle first, 2θ from 10° to 80°:
2θ/deg  d/Å  I_rel
35.15  2.553  76
38.35  2.347  35
40.81  2.211  44
41.51  2.175  100
46.53  1.952  66
48.45  1.879  43
74.29  1.277  30
78.61  1.217  29

Structural model:
Cell: 5.1069 5.1069 8.3066 Å, 90.00 90.00 120.00°
Fractional coordinates of all 13 atoms:
1 Y 0.0000 0.0000 0.0000
2 Cr 0.0000 0.5000 0.2504
3 Cr 0.0000 0.5000 0.7496
4 Cr 0.5000 0.0000 0.2504
5 Cr 0.5000 0.0000 0.7496
6 Cr 0.5000 0.5000 0.2504
7 Cr 0.5000 0.5000 0.7496
8 Ge 0.0000 0.0000 0.3463
9 Ge 0.0000 0.0000 0.6537
10 Ge 0.3333 0.6667 0.0000
11 Ge 0.3333 0.6667 0.5000
12 Ge 0.6667 0.3333 0.0000
13 Ge 0.6667 0.3333 0.5000


(2)
The following is a computed X-ray powder pattern of CrH2. It was derived from a crystal structure in Alexandria, relaxed with PBE, using a wavelength of 1.5418 Å.

Largest 4 diffraction maxima, low angle first, 2θ from 10° to 80°:
2θ/deg  d/Å  I_rel
38.01  2.367  100
44.18  2.050  43
64.26  1.450  28
77.16  1.236  30

Structural model:
Cell: 2.8991 2.8991 2.8991 Å, 60.00 60.00 60.00°
Fractional coordinates of all 3 atoms:
1 Cr 0.0000 0.0000 0.0000
2 H 0.2500 0.2500 0.2500
3 H 0.7500 0.7500 0.7500


(3)
The following is a computed X-ray powder pattern of HfCr2H. It was derived from a crystal structure in Alexandria, relaxed with PBE, using a wavelength of 1.5418 Å.

Largest 8 diffraction maxima, low angle first, 2θ from 10° to 80°:
2θ/deg  d/Å  I_rel
20.98  4.234  26
34.59  2.593  79
40.81  2.211  100
42.71  2.117  10
54.54  1.683  8
61.99  1.497  30
66.21  1.411  31
72.97  1.296  22

Structural model:
Cell: 5.1860 5.1860 5.1860 Å, 60.00 60.00 60.00°
Fractional coordinates of all 8 atoms:
1 Hf 0.1250 0.1250 0.1250
2 Hf 0.8750 0.8750 0.8750
3 Cr 0.0000 0.5000 0.5000
4 Cr 0.5000 0.0000 0.5000
5 Cr 0.5000 0.5000 0.0000
6 Cr 0.5000 0.5000 0.5000
7 H 0.3750 0.3750 0.3750
8 H 0.6250 0.6250 0.6250


(4)
The following is a computed X-ray powder pattern of CrH2I3. It was derived from a crystal structure in Alexandria, relaxed with PBE, using a wavelength of 1.5418 Å.

Largest 8 diffraction maxima, low angle first, 2θ from 10° to 80°:
2θ/deg  d/Å  I_rel
12.32  7.182  85
16.24  5.458  60
24.45  3.641  82
26.30  3.389  100
27.66  3.225  58
29.36  3.042  56
29.54  3.024  68
43.86  2.064  58

Structural model:
Cell: 7.2399 7.8014 8.2355 Å, 117.01 95.47 91.71°
Fractional coordinates of all 12 atoms:
1 Cr 0.0116 0.2455 0.4912
2 Cr 0.9884 0.7545 0.5088
3 H 0.1684 0.7061 0.4020
4 H 0.4969 0.2698 0.3191
5 H 0.5031 0.7302 0.6809
6 H 0.8316 0.2939 0.5980
7 I 0.1434 0.1170 0.7315
8 I 0.1645 0.6073 0.7188
9 I 0.3215 0.1026 0.2607
10 I 0.6785 0.8974 0.7393
11 I 0.8355 0.3927 0.2812
12 I 0.8566 0.8830 0.2685


(5)
The following is a computed X-ray powder pattern of ScCrHI2. It was derived from a crystal structure in Alexandria, relaxed with PBE, using a wavelength of 1.5418 Å.

Largest 8 diffraction maxima, low angle first, 2θ from 10° to 80°:
2θ/deg  d/Å  I_rel
15.43  5.743  28
15.61  5.679  78
26.99  3.303  100
31.14  2.872  62
31.51  2.839  30
35.00  2.563  49
44.89  2.019  44
52.93  1.730  30

Structural model:
Cell: 5.7434 5.7434 5.6786 Å, 90.00 90.00 90.00°
Fractional coordinates of all 5 atoms:
1 Sc 0.0000 0.0000 0.0000
2 Cr 0.0000 0.0000 0.5000
3 H 0.5000 0.5000 0.5000
4 I 0.0000 0.5000 0.0000
5 I 0.5000 0.0000 0.0000


(6)
The following is a computed X-ray powder pattern of Cr2In2H. It was derived from a crystal structure in Alexandria, relaxed with PBE, using a wavelength of 1.5418 Å.

Largest 8 diffraction maxima, low angle first, 2θ from 10° to 80°:
2θ/deg  d/Å  I_rel
18.75  4.732  19
21.63  4.108  12
30.78  2.905  24
38.04  2.366  25
39.57  2.278  100
49.66  1.836  23
69.61  1.351  18
69.75  1.348  17

Structural model:
Cell: 5.8103 5.8103 4.7316 Å, 90.00 90.00 90.00°
Fractional coordinates of all 10 atoms:
1 Cr 0.1656 0.3344 0.0000
2 Cr 0.3344 0.8344 0.0000
3 Cr 0.6656 0.1656 0.0000
4 Cr 0.8344 0.6656 0.0000
5 In 0.1694 0.6694 0.5000
6 In 0.3306 0.1694 0.5000
7 In 0.6694 0.8306 0.5000
8 In 0.8306 0.3306 0.5000
9 H 0.0000 0.0000 0.0000
10 H 0.5000 0.5000 0.0000